Structure and simulated powder X-ray diffraction pattern of FeH4Br3N (a structure optimized by DFT (GGA-PBE); Cu Kα X-rays).

Main lines, low angle first (2θ from 5° to 70°):
| d [Å] | two_theta | I/Imax |
| --- | --- | --- |
| 6.688 | 13.24 | 100.0 |
| 3.280 | 27.19 | 50.9 |
| 3.108 | 28.73 | 19.9 |
| 2.945 | 30.35 | 75.0 |
| 2.528 | 35.51 | 10.4 |
| 2.421 | 37.14 | 27.1 |
| 2.342 | 38.44 | 23.6 |
| 2.276 | 39.59 | 30.8 |
| 1.961 | 46.30 | 15.5 |
| 1.856 | 49.09 | 18.2 |
| 1.761 | 51.92 | 11.9 |
| 1.593 | 57.88 | 18.1 |

Crystal structure
Lattice parameters (Å, degrees): 6.216 7.718 13.383 90.12 90.01 90.03
Fractional coordinates of all 36 atoms:
1 Fe 0.000 0.000 0.000
2 Fe 0.056 0.508 0.502
3 Fe 0.499 0.506 0.504
4 Fe 0.557 0.998 0.002
5 H 0.007 0.011 0.674
6 H 0.022 0.491 0.166
7 H 0.281 0.554 0.773
8 H 0.290 0.369 0.844
9 H 0.292 0.079 0.393
10 H 0.302 0.570 0.900
11 H 0.309 0.064 0.265
12 H 0.310 0.880 0.337
13 H 0.508 0.495 0.830
14 H 0.521 0.017 0.338
15 H 0.779 0.952 0.732
16 H 0.788 0.137 0.660
17 H 0.795 0.427 0.110
18 H 0.802 0.936 0.604
19 H 0.808 0.442 0.238
20 H 0.810 0.626 0.167
21 Br 0.271 0.063 0.851
22 Br 0.273 0.235 0.549
23 Br 0.274 0.711 0.616
24 Br 0.278 0.195 0.107
25 Br 0.279 0.744 0.045
26 Br 0.280 0.573 0.343
27 Br 0.770 0.443 0.653
28 Br 0.775 0.271 0.955
29 Br 0.775 0.794 0.888
30 Br 0.776 0.312 0.396
31 Br 0.778 0.762 0.459
32 Br 0.781 0.934 0.160
33 N 0.343 0.497 0.837
34 N 0.356 0.010 0.333
35 N 0.841 0.009 0.668
36 N 0.857 0.497 0.170